1.
# CdSiTeMoHW
Theoretical powder diffraction line list, a wavelength of 1.5418 Å. Input: a crystal structure in Alexandria, relaxed with PBE.

Structure:
```
CdSiTeMoHW
1.0
9.2165 -1.6637 0.0000
9.2165 1.6637 0.0000
-0.0017 0.0000 3.3644
Cd Si Te Mo H W
1 1 1 1 1 1
Cartesian
0.0000 0.0000 0.0000
15.6353 0.0000 3.3632
3.0007 0.0000 3.3602
13.7467 0.0000 1.6781
5.4012 0.0000 1.7036
7.2477 0.0000 1.6804
```

Top 6 peaks for 2θ = 5–70°, low angle first:
| 2theta | intensity |
| --- | --- |
| 28.24 | 71.6 |
| 30.55 | 54.2 |
| 36.37 | 75.1 |
| 38.36 | 100.0 |
| 39.73 | 93.3 |
| 40.88 | 57.2 |

=====

2.
# ThMg4Cd2
Theoretical powder diffraction line list, a wavelength of 1.5418 Å. Input: a crystal structure in Alexandria, relaxed with PBE.

Structure:
```
ThMg4Cd2
1.0
2.5674 -9.6696 0.0000
2.5674 9.6696 0.0000
0.0000 0.0000 3.3809
Th Mg Cd
1 4 2
Cartesian
0.0000 0.0000 0.0000
2.5674 6.5778 1.6904
2.5674 3.9228 0.0000
2.5674 -3.9228 0.0000
2.5674 -6.5778 1.6904
2.5674 1.4808 1.6904
2.5674 -1.4808 1.6904
```

Top 6 peaks for 2θ = 5–70°, low angle first:
| 2theta | intensity |
| --- | --- |
| 9.15 | 100.0 |
| 28.90 | 23.7 |
| 32.03 | 41.9 |
| 32.31 | 17.5 |
| 34.68 | 27.2 |
| 36.95 | 27.2 |

=====

3.
# CsB2H8Rh
Theoretical powder diffraction line list, a wavelength of 1.5418 Å. Input: a crystal structure in Alexandria, relaxed with PBE.

Structure:
```
CsB2H8Rh
1.0
2.4068 1.3896 6.7806
-2.4068 1.3896 6.7806
0.0000 -2.7792 6.7806
Cs B H Rh
1 2 8 1
Cartesian
0.0000 0.0000 0.0000
0.0000 0.0000 4.8019
0.0000 0.0000 15.5397
-1.3686 -0.8022 9.1566
0.0000 0.0000 6.0207
-1.3790 0.7842 11.1850
0.0104 -1.5863 11.1850
-0.0104 1.5864 9.1566
1.3790 -0.7842 9.1566
0.0000 0.0000 14.3209
1.3686 0.8022 11.1850
0.0000 0.0000 10.1708
```

Top 6 peaks for 2θ = 5–70°, low angle first:
| 2theta | intensity |
| --- | --- |
| 23.06 | 100.0 |
| 26.29 | 25.4 |
| 27.67 | 94.2 |
| 37.36 | 39.9 |
| 41.60 | 27.5 |
| 46.26 | 34.1 |

=====

4.
# Tb6Y4Zr
Theoretical powder diffraction line list, a wavelength of 1.5418 Å. Input: a crystal structure in Alexandria, relaxed with PBE.

Structure:
```
Tb6Y4Zr
1.0
8.8069 0.0000 0.0000
0.0000 8.8069 0.0000
0.0000 0.0000 8.8452
Tb Y Zr
12 8 2
Cartesian
0.0000 0.0000 1.5381
0.0000 0.0000 7.3071
1.3092 3.0456 4.4226
1.3578 3.0942 0.0000
3.0456 7.4977 4.4226
3.0942 7.4491 0.0000
4.4035 4.4035 2.8845
4.4035 4.4035 5.9607
5.7127 1.3578 0.0000
5.7613 1.3092 4.4226
7.4491 5.7127 0.0000
7.4977 5.7613 4.4226
1.2991 5.7026 2.2113
1.2991 5.7026 6.6339
3.1044 1.2991 2.2113
3.1044 1.2991 6.6339
5.7026 7.5078 2.2113
5.7026 7.5078 6.6339
7.5078 3.1044 2.2113
7.5078 3.1044 6.6339
0.0000 0.0000 4.4226
4.4035 4.4035 0.0000
```

Top 6 peaks for 2θ = 5–70°, low angle first:
| 2theta | intensity |
| --- | --- |
| 28.66 | 16.2 |
| 30.39 | 100.0 |
| 32.14 | 68.6 |
| 38.13 | 14.6 |
| 46.09 | 13.8 |
| 60.34 | 21.2 |

=====

5.
# Pu6UGe6
Theoretical powder diffraction line list, a wavelength of 1.5418 Å. Input: a crystal structure in Alexandria, relaxed with PBE.

Structure:
```
Pu6UGe6
1.0
5.8247 0.0000 0.0000
0.0000 9.4397 0.0000
-2.5499 0.0000 5.2505
Pu U Ge
6 1 6
Cartesian
0.0000 1.8328 0.0000
-1.2750 2.4696 2.6253
-1.2750 6.9701 2.6253
0.0000 7.6068 0.0000
2.9123 2.6492 0.0000
2.9123 6.7904 0.0000
1.6374 4.7198 2.6253
-1.5298 4.7198 4.4667
-0.1387 0.0000 3.9752
1.6374 1.7700 2.6253
1.6374 7.6697 2.6253
3.4134 0.0000 1.2753
4.8045 4.7198 0.7838
```

Top 6 peaks for 2θ = 5–70°, low angle first:
| 2theta | intensity |
| --- | --- |
| 18.80 | 54.3 |
| 33.77 | 61.4 |
| 34.19 | 100.0 |
| 34.67 | 31.9 |
| 36.36 | 48.5 |
| 39.30 | 82.9 |